Entry 1:
The following is a theoretical powder XRD pattern of Th4BTe5. It was derived from a crystal structure in Alexandria, relaxed with PBE, using Cu Kα (λ = 1.5418 Å).
Neutral-atom scattering factors, no anomalous dispersion.

Peak list (10 most intense, 2θ = 15–90°, by angle)
- 4.180 Å, intensity 16
- 3.404 Å, intensity 19
- 3.108 Å, intensity 21
- 3.080 Å, intensity 50
- 3.034 Å, intensity 100
- 2.802 Å, intensity 22
- 2.165 Å, intensity 37
- 2.158 Å, intensity 34
- 2.146 Å, intensity 36
- 1.761 Å, intensity 20

Structure:
```
Th4BTe5
1.0
9.475 -2.146 0.000
9.475 2.146 0.000
-1.903 0.000 8.368
Th B Te
4 1 5
Direct
0.001 0.001 0.278 Th
0.348 0.348 0.419 Th
0.652 0.652 0.581 Th
0.999 0.999 0.722 Th
0.500 0.500 0.500 B
0.168 0.168 0.848 Te
0.172 0.172 0.320 Te
0.500 0.500 0.000 Te
0.828 0.828 0.680 Te
0.832 0.832 0.152 Te
```

***

Entry 2:
The following is a theoretical powder XRD pattern of BaTl6Pd2. It was derived from a crystal structure in Alexandria, relaxed with PBE, using Cu Kα (λ = 1.5418 Å).
Neutral-atom scattering factors, no anomalous dispersion.

Peak list (10 most intense, 2θ = 15–90°, by angle)
- 4.761 Å, intensity 16
- 4.060 Å, intensity 20
- 3.367 Å, intensity 67
- 2.749 Å, intensity 11
- 2.381 Å, intensity 100
- 1.944 Å, intensity 17
- 1.753 Å, intensity 16
- 1.683 Å, intensity 16
- 1.506 Å, intensity 20
- 1.374 Å, intensity 29

Structure:
```
BaTl6Pd2
1.0
0.000 6.733 6.733
6.733 0.000 6.733
6.733 6.733 0.000
Ba Tl Pd
2 12 4
Direct
0.125 0.125 0.125 Ba
0.875 0.875 0.875 Ba
0.143 0.143 0.607 Tl
0.143 0.607 0.143 Tl
0.143 0.607 0.607 Tl
0.393 0.393 0.857 Tl
0.393 0.857 0.393 Tl
0.393 0.857 0.857 Tl
0.607 0.143 0.143 Tl
0.607 0.143 0.607 Tl
0.607 0.607 0.143 Tl
0.857 0.393 0.393 Tl
0.857 0.393 0.857 Tl
0.857 0.857 0.393 Tl
0.000 0.500 0.500 Pd
0.500 0.000 0.500 Pd
0.500 0.500 0.000 Pd
0.500 0.500 0.500 Pd
```